# 1
For Li2Mg, a cell relaxed with PBE gives the computed PXRD pattern in this record (Cu Kα (weighted mean of Kα1 and Kα2)).

Structure:
Cell: 11.4553 3.1871 7.0174 Å, 90.00 106.44 90.00°
Space group C2/m (No. 12)
Inequivalent atoms, fractional coordinates:
1 Li 0.0170 0.0000 0.2933
2 Li 0.1834 0.5000 0.6160
3 Mg 0.1458 0.5000 0.0520

Main lines, in order of rising 2θ (2θ from 10° to 80°):
13.15°, I = 100, (0 0 1); 26.49°, I = 14, (0 0 2); 29.18°, I = 13, (1 1 0); 31.13°, I = 21, (1 1 -1); 31.50°, I = 14, (4 0 -1); 34.99°, I = 19, (2 0 2); 35.88°, I = 29, (4 0 -2); 37.39°, I = 54, (3 1 0); 38.15°, I = 44, (1 1 -2); 38.78°, I = 14, (4 0 1)



# 2
For Tb7CoI12, a cell relaxed with PBE gives the computed PXRD pattern in this record (Cu Kα (weighted mean of Kα1 and Kα2)).

Structure:
Cell: 15.7290 15.7290 10.9957 Å, 90.00 90.00 120.00°
Space group R-3 (No. 148, hexagonal axes)
Inequivalent atoms, fractional coordinates:
1 Tb 0.0000 0.0000 0.0000
2 Tb 0.0422 0.8878 0.3654
3 Co 0.0000 0.0000 0.5000
4 I 0.0197 0.4331 0.1586
5 I 0.0497 0.8732 0.8374

Main lines, in order of rising 2θ (2θ from 10° to 80°):
10.34°, I = 11, (1 0 1); 11.25°, I = 29, (1 1 0); 24.92°, I = 12, (1 3 1); 28.67°, I = 100, (4 -1 2); 40.59°, I = 34, (1 3 4); 41.40°, I = 34, (5 2 0); 51.13°, I = 17, (2 6 2); 59.36°, I = 11, (8 -2 4); 66.65°, I = 12, (5 2 6); 67.81°, I = 12, (9 1 2)



# 3
For NbCr3Cu2S8, a cell relaxed with PBE gives the computed PXRD pattern in this record (Cu Kα (weighted mean of Kα1 and Kα2)).

Structure:
Cell: 3.4188 11.4422 12.0912 Å, 90.00 90.00 90.00°
Space group Pmn2_1 (No. 31)
Inequivalent atoms, fractional coordinates:
1 Nb 0.0000 0.1023 0.0000
2 Cr 0.0000 0.1413 0.3583
3 Cr 0.0000 0.6024 0.0828
4 Cr 0.0000 0.6331 0.7165
5 Cu 0.0000 0.3777 0.8505
6 Cu 0.0000 0.8636 0.2164
7 S 0.0000 0.0495 0.5379
8 S 0.0000 0.2236 0.1695
9 S 0.0000 0.2801 0.6740
10 S 0.0000 0.5018 0.2579
11 S 0.0000 0.5349 0.5396
12 S 0.0000 0.7182 0.9031
13 S 0.0000 0.7782 0.4051
14 S 0.0000 0.9992 0.8092

Main lines, in order of rising 2θ (2θ from 10° to 80°):
16.58°, I = 25, (0 1 2); 27.07°, I = 100, (0 2 3); 33.53°, I = 46, (0 2 4); 33.96°, I = 46, (1 2 2); 36.05°, I = 90, (1 3 1); 38.36°, I = 81, (1 3 2); 46.69°, I = 40, (1 1 5); 53.13°, I = 34, (0 6 3); 53.38°, I = 31, (1 1 6); 53.62°, I = 38, (2 0 0)